Diffraction record for TbDyTaN3. The powder diffractogram is simulated, not measured: it uses a crystal structure in Alexandria, relaxed with GGA-PBE and Cu Ka.

Cell and atoms:
```
data_TbDyTaN3
_symmetry_space_group_name_H-M 'P 1 21/m 1'
_symmetry_Int_Tables_number 11
_symmetry_space_group_name_Hall '-P 2yb'
_cell_length_a 7.2036
_cell_length_b 3.4131
_cell_length_c 7.9039
_cell_angle_alpha 90.00
_cell_angle_beta 90.68
_cell_angle_gamma 90.00
loop_
_atom_site_label
_atom_site_type_symbol
_atom_site_fract_x
_atom_site_fract_y
_atom_site_fract_z
Tb1 Tb 0.1455 0.2500 0.1525
Dy1 Dy 0.3949 0.7500 0.8441
Ta1 Ta 0.1249 0.2500 0.5811
N1 N 0.1258 0.2500 0.8388
N2 N 0.1799 0.7500 0.4544
N3 N 0.3781 0.7500 0.1225
```

Most intense lines, 5° ≤ 2θ ≤ 70°, sorted by position:
| index | Position (°2θ) | d/Å | I/Imax |
| --- | --- | --- | --- |
| 1 0 0 | 12.29 | 7.203 | 27 |
| 1 0 -1 | 16.55 | 5.356 | 40 |
| 2 0 -2 | 33.46 | 2.678 | 38 |
| 2 0 2 | 33.87 | 2.646 | 41 |
| 0 0 3 | 34.03 | 2.634 | 28 |
| 0 1 2 | 34.73 | 2.583 | 81 |
| 2 1 0 | 36.26 | 2.477 | 100 |
| 2 2 2 | 65.03 | 1.434 | 25 |

---

Diffraction record for Er4Tm3. The powder diffractogram is simulated, not measured: it uses a crystal structure in Alexandria, relaxed with GGA-PBE and Cu Ka.

Cell and atoms:
```
data_Er4Tm3
_symmetry_space_group_name_H-M 'I m m m'
_symmetry_Int_Tables_number 71
_symmetry_space_group_name_Hall '-I 2 2'
_cell_length_a 3.4877
_cell_length_b 4.9353
_cell_length_c 24.4586
_cell_angle_alpha 90.00
_cell_angle_beta 90.00
_cell_angle_gamma 90.00
loop_
_atom_site_label
_atom_site_type_symbol
_atom_site_fract_x
_atom_site_fract_y
_atom_site_fract_z
Er1 Er 0.0000 0.0000 0.0713
Er2 Er 0.0000 0.0000 0.2141
Tm1 Tm 0.0000 0.0000 0.3573
Tm2 Tm 0.0000 0.0000 0.5000
```

Most intense lines, 5° ≤ 2θ ≤ 70°, sorted by position:
| index | Position (°2θ) | d/Å | I/Imax |
| --- | --- | --- | --- |
| 1 1 0 | 31.39 | 2.850 | 100 |
| 1 0 7 | 36.40 | 2.468 | 51 |
| 1 2 7 | 52.42 | 1.746 | 30 |
| 2 0 0 | 52.47 | 1.744 | 6 |
| 2 1 7 | 62.39 | 1.488 | 43 |
| 2 2 0 | 65.50 | 1.425 | 12 |